Starting from a structure optimized by DFT (GGA-PBE), the powder diffractogram of Cs3LaBr6 was computed for λ = 1.5418 Å (Cu Kα).
Intensities are scaled so that the largest is 100.

Peak list (8 most intense, 10 to 90 degrees two-theta, in order of rising 2θ)
two_theta, I/Imax
20.46, 38.2
21.11, 50.3
24.99, 28.5
26.86, 28.1
27.55, 40.5
28.99, 100.0
30.13, 30.1
31.64, 27.6

Structural model:
abc: 15.0154 15.0154 14.3205
angles: 99.20 99.20 34.53
Sites, in units of the cell vectors:
Cs: 0.0219 0.6515 0.1948
Cs: 0.1664 0.5250 0.8530
Cs: 0.1750 0.7147 0.5584
Cs: 0.2853 0.8250 0.9416
Cs: 0.3485 0.9781 0.3052
Cs: 0.4750 0.8336 0.6470
Cs: 0.5250 0.1664 0.3530
Cs: 0.6515 0.0219 0.6948
Cs: 0.7147 0.1750 0.0584
Cs: 0.8250 0.2853 0.4416
Cs: 0.8336 0.4750 0.1470
Cs: 0.9781 0.3485 0.8052
La: 0.0000 0.5000 0.5000
La: 0.1995 0.8005 0.2500
La: 0.5000 0.0000 0.0000
La: 0.8005 0.1995 0.7500
Br: 0.0138 0.1096 0.2051
Br: 0.1096 0.0138 0.7051
Br: 0.1351 0.3652 0.3103
Br: 0.1472 0.2083 0.5340
Br: 0.1491 0.7380 0.0595
Br: 0.2083 0.1472 0.0340
Br: 0.2620 0.8509 0.4405
Br: 0.2781 0.3832 0.5771
Br: 0.3585 0.5184 0.3224
Br: 0.3652 0.1351 0.8103
Br: 0.3832 0.2781 0.0771
Br: 0.4816 0.6415 0.1776
Br: 0.5184 0.3585 0.8224
Br: 0.6168 0.7219 0.9229
Br: 0.6348 0.8649 0.1897
Br: 0.6415 0.4816 0.6776
Br: 0.7219 0.6168 0.4229
Br: 0.7380 0.1491 0.5595
Br: 0.7917 0.8528 0.9660
Br: 0.8509 0.2620 0.9405
Br: 0.8528 0.7917 0.4660
Br: 0.8649 0.6348 0.6897
Br: 0.8904 0.9862 0.2949
Br: 0.9862 0.8904 0.7949

***

Starting from a structure optimized by DFT (GGA-PBE), the powder diffractogram of CsLaBr4 was computed for λ = 1.5418 Å (Cu Kα).
Intensities are scaled so that the largest is 100.

Peak list (8 most intense, 10 to 90 degrees two-theta, in order of rising 2θ)
two_theta, I/Imax
18.29, 100.0
20.26, 60.4
27.42, 94.1
27.65, 78.2
28.68, 57.2
32.88, 62.3
35.42, 72.5
37.08, 74.2

Structural model:
abc: 9.7132 9.7132 8.1862
angles: 105.89 105.89 44.66
Sites, in units of the cell vectors:
Cs: 0.2023 0.7977 0.7500
Cs: 0.7977 0.2023 0.2500
La: 0.0000 0.5000 0.0000
La: 0.5000 0.0000 0.5000
Br: 0.1191 0.2620 0.6539
Br: 0.2620 0.1191 0.1539
Br: 0.2882 0.5214 0.0524
Br: 0.4786 0.7118 0.4476
Br: 0.5214 0.2882 0.5524
Br: 0.7118 0.4786 0.9476
Br: 0.7380 0.8809 0.8461
Br: 0.8809 0.7380 0.3461

***

Starting from a structure optimized by DFT (GGA-PBE), the powder diffractogram of Cs3La2Br9 was computed for λ = 1.5418 Å (Cu Kα).
Intensities are scaled so that the largest is 100.

Peak list (8 most intense, 10 to 90 degrees two-theta, in order of rising 2θ)
two_theta, I/Imax
21.43, 19.9
26.89, 18.6
28.27, 100.0
36.90, 30.0
43.67, 28.4
48.36, 21.9
52.03, 14.3
52.84, 14.1

Structural model:
abc: 10.6168 10.6168 10.6168
angles: 85.12 85.12 85.12
Sites, in units of the cell vectors:
Cs: 0.0810 0.7500 0.4190
Cs: 0.2500 0.5810 0.9190
Cs: 0.4190 0.0810 0.7500
Cs: 0.5810 0.9190 0.2500
Cs: 0.7500 0.4190 0.0810
Cs: 0.9190 0.2500 0.5810
La: 0.1449 0.1449 0.1449
La: 0.3551 0.3551 0.3551
La: 0.6449 0.6449 0.6449
La: 0.8551 0.8551 0.8551
Br: 0.0716 0.2724 0.9108
Br: 0.0892 0.9284 0.7276
Br: 0.0950 0.4050 0.2500
Br: 0.2276 0.4284 0.5892
Br: 0.2500 0.0950 0.4050
Br: 0.2724 0.9108 0.0716
Br: 0.4050 0.2500 0.0950
Br: 0.4108 0.7724 0.5716
Br: 0.4284 0.5892 0.2276
Br: 0.5716 0.4108 0.7724
Br: 0.5892 0.2276 0.4284
Br: 0.5950 0.7500 0.9050
Br: 0.7276 0.0892 0.9284
Br: 0.7500 0.9050 0.5950
Br: 0.7724 0.5716 0.4108
Br: 0.9050 0.5950 0.7500
Br: 0.9108 0.0716 0.2724
Br: 0.9284 0.7276 0.0892

***

Starting from a structure optimized by DFT (GGA-PBE), the powder diffractogram of CsLaTa6Br18 was computed for λ = 1.5418 Å (Cu Kα).
Intensities are scaled so that the largest is 100.

Peak list (8 most intense, 10 to 90 degrees two-theta, in order of rising 2θ)
two_theta, I/Imax
10.17, 100.0
13.94, 62.2
30.79, 24.2
33.38, 52.4
39.97, 16.5
40.12, 18.6
40.85, 19.1
47.93, 20.4

Structural model:
abc: 10.0389 10.0389 18.6120
angles: 90.00 90.00 120.00
Sites, in units of the cell vectors:
Cs: 0.3333 0.6667 0.2500
Cs: 0.6667 0.3333 0.7500
La: 0.3333 0.6667 0.7500
La: 0.6667 0.3333 0.2500
Ta: 0.0346 0.1822 0.5637
Ta: 0.0346 0.8524 0.9363
Ta: 0.1476 0.1822 0.9363
Ta: 0.1476 0.9654 0.5637
Ta: 0.1822 0.0346 0.0637
Ta: 0.1822 0.1476 0.4363
Ta: 0.8178 0.8524 0.5637
Ta: 0.8178 0.9654 0.9363
Ta: 0.8524 0.0346 0.4363
Ta: 0.8524 0.8178 0.0637
Ta: 0.9654 0.1476 0.0637
Ta: 0.9654 0.8178 0.4363
Br: 0.0423 0.2270 0.3412
Br: 0.0423 0.8154 0.1588
Br: 0.0769 0.4379 0.6585
Br: 0.0769 0.6391 0.8415
Br: 0.1418 0.4112 0.0003
Br: 0.1418 0.7306 0.4997
Br: 0.1846 0.2270 0.1588
Br: 0.1846 0.9577 0.3412
Br: 0.2270 0.0423 0.8412
Br: 0.2270 0.1846 0.6588
Br: 0.2694 0.4112 0.4997
Br: 0.2694 0.8582 0.0003
Br: 0.3609 0.4379 0.8415
Br: 0.3609 0.9231 0.6585
Br: 0.4112 0.1418 0.5003
Br: 0.4112 0.2694 0.9997
Br: 0.4379 0.0769 0.1585
Br: 0.4379 0.3609 0.3415
Br: 0.5621 0.6391 0.6585
Br: 0.5621 0.9231 0.8415
Br: 0.5888 0.7306 0.0003
Br: 0.5888 0.8582 0.4997
Br: 0.6391 0.0769 0.3415
Br: 0.6391 0.5621 0.1585
Br: 0.7306 0.1418 0.9997
Br: 0.7306 0.5888 0.5003
Br: 0.7730 0.8154 0.3412
Br: 0.7730 0.9577 0.1588
Br: 0.8154 0.0423 0.6588
Br: 0.8154 0.7730 0.8412
Br: 0.8582 0.2694 0.5003
Br: 0.8582 0.5888 0.9997
Br: 0.9231 0.3609 0.1585
Br: 0.9231 0.5621 0.3415
Br: 0.9577 0.1846 0.8412
Br: 0.9577 0.7730 0.6588

***

Starting from a structure optimized by DFT (GGA-PBE), the powder diffractogram of CsLaTl2Br6 was computed for λ = 1.5418 Å (Cu Kα).
Intensities are scaled so that the largest is 100.

Peak list (8 most intense, 10 to 90 degrees two-theta, in order of rising 2θ)
two_theta, I/Imax
14.57, 49.6
20.16, 70.3
21.15, 52.8
24.38, 54.9
29.38, 43.8
32.30, 100.0
36.48, 48.8
37.06, 63.1

Structural model:
abc: 8.8293 8.8293 8.8293
angles: 56.83 56.83 56.83
Sites, in units of the cell vectors:
Cs: 0.0000 0.0000 0.0000
La: 0.5152 0.5152 0.5152
Tl: 0.2017 0.2017 0.2017
Tl: 0.7147 0.7147 0.7147
Br: 0.1571 0.7568 0.4239
Br: 0.3476 0.5717 0.8872
Br: 0.4239 0.1571 0.7568
Br: 0.5717 0.8872 0.3476
Br: 0.7568 0.4239 0.1571
Br: 0.8872 0.3476 0.5717

***

Starting from a structure optimized by DFT (GGA-PBE), the powder diffractogram of Cs4LiBr4 was computed for λ = 1.5418 Å (Cu Kα).
Intensities are scaled so that the largest is 100.

Peak list (8 most intense, 10 to 90 degrees two-theta, in order of rising 2θ)
two_theta, I/Imax
23.35, 100.0
23.59, 31.3
25.02, 22.8
28.75, 35.0
30.09, 26.5
33.26, 34.2
33.43, 43.0
50.87, 23.2

Structural model:
abc: 10.7756 10.7756 7.5418
angles: 90.00 90.00 90.00
Sites, in units of the cell vectors:
Cs: 0.0213 0.2500 0.0614
Cs: 0.2500 0.0213 0.5614
Cs: 0.2500 0.4787 0.5614
Cs: 0.4787 0.2500 0.0614
Cs: 0.5213 0.7500 0.9386
Cs: 0.7500 0.5213 0.4386
Cs: 0.7500 0.9787 0.4386
Cs: 0.9787 0.7500 0.9386
Li: 0.2500 0.7500 0.2500
Li: 0.7500 0.2500 0.7500
Br: 0.0486 0.7500 0.4423
Br: 0.2500 0.5486 0.0577
Br: 0.2500 0.9514 0.0577
Br: 0.4514 0.7500 0.4423
Br: 0.5486 0.2500 0.5577
Br: 0.7500 0.0486 0.9423
Br: 0.7500 0.4514 0.9423
Br: 0.9514 0.2500 0.5577

***

Starting from a structure optimized by DFT (GGA-PBE), the powder diffractogram of CsLi3Br4 was computed for λ = 1.5418 Å (Cu Kα).
Intensities are scaled so that the largest is 100.

Peak list (8 most intense, 10 to 90 degrees two-theta, in order of rising 2θ)
two_theta, I/Imax
23.31, 26.4
26.94, 100.0
28.60, 64.1
30.30, 56.4
40.72, 23.9
41.08, 19.7
47.49, 23.0
50.82, 28.9

Structural model:
abc: 10.0654 4.3942 11.9390
angles: 90.00 90.00 90.00
Sites, in units of the cell vectors:
Cs: 0.0000 0.0000 0.0000
Cs: 0.5000 0.0000 0.0000
Li: 0.0859 0.5000 0.3068
Li: 0.2500 0.0000 0.5814
Li: 0.4141 0.5000 0.3068
Li: 0.5859 0.5000 0.6932
Li: 0.7500 0.0000 0.4186
Li: 0.9141 0.5000 0.6932
Br: 0.0446 0.0000 0.7064
Br: 0.2500 0.5000 0.1294
Br: 0.2500 0.5000 0.4678
Br: 0.4554 0.0000 0.7064
Br: 0.5446 0.0000 0.2936
Br: 0.7500 0.5000 0.5322
Br: 0.7500 0.5000 0.8706
Br: 0.9554 0.0000 0.2936

***

Starting from a structure optimized by DFT (GGA-PBE), the powder diffractogram of Cs4LiBr5 was computed for λ = 1.5418 Å (Cu Kα).
Intensities are scaled so that the largest is 100.

Peak list (8 most intense, 10 to 90 degrees two-theta, in order of rising 2θ)
two_theta, I/Imax
21.68, 18.2
24.20, 53.4
25.51, 100.0
35.45, 78.9
36.39, 30.4
44.18, 31.0
56.57, 18.1
64.87, 13.0

Structural model:
abc: 8.6309 8.6309 8.6309
angles: 100.46 100.46 129.56
Sites, in units of the cell vectors:
Cs: 0.0918 0.2985 0.3903
Cs: 0.2985 0.9082 0.2067
Cs: 0.7015 0.0918 0.7933
Cs: 0.9082 0.7015 0.6097
Li: 0.5660 0.5660 0.0000
Br: 0.2380 0.5823 0.8272
Br: 0.4108 0.2380 0.6556
Br: 0.5823 0.7551 0.3444
Br: 0.7551 0.4108 0.1728
Br: 0.9080 0.9080 0.0000